1.
For KTaAg2Se4, a cell relaxed with GGA-PBE gives the computed powder X-ray diffraction pattern in this record (Cu Kα X-rays).
Neutral-atom scattering factors, no anomalous dispersion.

Structural model:
a b c (Å): 8.380 10.262 10.262
angles (deg): 145.06 90.00 90.00
Element x y z (fractional)
K: 0.250 0.187 0.813
K: 0.750 0.813 0.187
Ta: 0.250 0.084 0.313
Ta: 0.750 0.313 0.084
Ag: 0.000 0.233 0.233
Ag: 0.250 0.581 0.818
Ag: 0.500 0.233 0.233
Ag: 0.750 0.818 0.581
Se: 0.007 0.301 0.543
Se: 0.250 0.768 0.206
Se: 0.250 0.955 0.976
Se: 0.493 0.301 0.543
Se: 0.507 0.543 0.301
Se: 0.750 0.206 0.768
Se: 0.750 0.976 0.955
Se: 0.993 0.543 0.301

Top 10 peaks for 2θ from 15° to 90°, most intense first:
| d_spacing | 2θ (°) | I (rel.) |
| --- | --- | --- |
| 2.214 | 40.8 | 100.0 |
| 5.877 | 15.1 | 54.5 |
| 3.412 | 26.1 | 49.7 |
| 2.773 | 32.3 | 31.4 |
| 3.305 | 27.0 | 27.9 |
| 2.095 | 43.2 | 27.9 |
| 2.164 | 41.7 | 25.2 |
| 2.447 | 36.7 | 24.0 |
| 1.975 | 46.0 | 20.2 |
| 4.894 | 18.1 | 17.2 |

=====

2.
For K2U3AgSe8, a cell relaxed with GGA-PBE gives the computed powder X-ray diffraction pattern in this record (Cu Kα X-rays).
Neutral-atom scattering factors, no anomalous dispersion.

Structural model:
a b c (Å): 9.515 9.515 9.515
angles (deg): 51.56 51.56 51.56
Element x y z (fractional)
K: 0.000 0.000 0.000
K: 0.356 0.356 0.356
U: 0.359 0.359 0.854
U: 0.359 0.854 0.359
U: 0.854 0.359 0.359
Ag: 0.841 0.841 0.841
Se: 0.096 0.096 0.567
Se: 0.096 0.567 0.096
Se: 0.129 0.129 0.129
Se: 0.145 0.617 0.617
Se: 0.567 0.096 0.096
Se: 0.587 0.587 0.587
Se: 0.617 0.145 0.617
Se: 0.617 0.617 0.145

Top 10 peaks for 2θ from 15° to 90°, most intense first:
| d_spacing | 2θ (°) | I (rel.) |
| --- | --- | --- |
| 3.099 | 28.8 | 100.0 |
| 2.514 | 35.7 | 50.1 |
| 2.069 | 43.8 | 40.4 |
| 3.546 | 25.1 | 37.3 |
| 2.338 | 38.5 | 35.0 |
| 2.007 | 45.2 | 29.3 |
| 1.902 | 47.8 | 22.9 |
| 1.721 | 53.2 | 17.7 |
| 1.323 | 71.3 | 14.6 |
| 1.288 | 73.5 | 12.6 |

=====

3.
For KU2Ag2Se6, a cell relaxed with GGA-PBE gives the computed powder X-ray diffraction pattern in this record (Cu Kα X-rays).
Neutral-atom scattering factors, no anomalous dispersion.

Structural model:
a b c (Å): 7.348 7.411 7.887
angles (deg): 64.96 64.01 63.13
Element x y z (fractional)
K: 0.000 0.000 0.000
U: 0.327 0.338 0.001
U: 0.673 0.662 0.999
Ag: 0.449 0.787 0.617
Ag: 0.551 0.213 0.383
Se: 0.086 0.683 0.768
Se: 0.291 0.568 0.225
Se: 0.467 0.059 0.769
Se: 0.533 0.941 0.231
Se: 0.709 0.432 0.775
Se: 0.914 0.317 0.232

Top 10 peaks for 2θ from 15° to 90°, most intense first:
| d_spacing | 2θ (°) | I (rel.) |
| --- | --- | --- |
| 3.202 | 27.9 | 100.0 |
| 3.385 | 26.3 | 77.1 |
| 5.469 | 16.2 | 74.5 |
| 2.576 | 34.8 | 73.1 |
| 3.253 | 27.4 | 71.2 |
| 2.517 | 35.7 | 63.6 |
| 2.460 | 36.5 | 59.1 |
| 2.202 | 41.0 | 49.9 |
| 2.185 | 41.3 | 47.8 |
| 2.095 | 43.2 | 41.8 |

=====

4.
For K3Ag3Sn8, a cell relaxed with GGA-PBE gives the computed powder X-ray diffraction pattern in this record (Cu Kα X-rays).
Neutral-atom scattering factors, no anomalous dispersion.

Structural model:
a b c (Å): 9.437 9.437 10.970
angles (deg): 125.46 125.46 30.34
Element x y z (fractional)
K: 0.000 0.000 0.000
K: 0.296 0.296 0.293
K: 0.704 0.704 0.707
Ag: 0.000 0.000 0.500
Ag: 0.341 0.341 0.984
Ag: 0.659 0.659 0.016
Sn: 0.147 0.147 0.864
Sn: 0.156 0.156 0.440
Sn: 0.354 0.354 0.734
Sn: 0.494 0.494 0.312
Sn: 0.506 0.506 0.688
Sn: 0.646 0.646 0.266
Sn: 0.844 0.844 0.560
Sn: 0.853 0.853 0.136

Top 10 peaks for 2θ from 15° to 90°, most intense first:
| d_spacing | 2θ (°) | I (rel.) |
| --- | --- | --- |
| 2.927 | 30.5 | 100.0 |
| 2.469 | 36.4 | 53.7 |
| 2.287 | 39.4 | 49.0 |
| 2.725 | 32.9 | 48.7 |
| 2.426 | 37.0 | 35.6 |
| 2.366 | 38.0 | 35.2 |
| 5.485 | 16.2 | 29.2 |
| 1.731 | 52.9 | 25.8 |
| 1.571 | 58.8 | 23.2 |
| 2.831 | 31.6 | 23.2 |

=====

5.
For KAg4Sn12, a cell relaxed with GGA-PBE gives the computed powder X-ray diffraction pattern in this record (Cu Kα X-rays).
Neutral-atom scattering factors, no anomalous dispersion.

Structural model:
a b c (Å): 8.495 8.495 8.495
angles (deg): 109.47 109.47 109.47
Element x y z (fractional)
K: 0.000 0.000 0.000
Ag: 0.000 0.000 0.500
Ag: 0.000 0.500 0.000
Ag: 0.500 0.000 0.000
Ag: 0.500 0.500 0.500
Sn: 0.156 0.352 0.507
Sn: 0.156 0.648 0.804
Sn: 0.196 0.844 0.352
Sn: 0.352 0.196 0.844
Sn: 0.352 0.507 0.156
Sn: 0.493 0.844 0.648
Sn: 0.507 0.156 0.352
Sn: 0.648 0.493 0.844
Sn: 0.648 0.804 0.156
Sn: 0.804 0.156 0.648
Sn: 0.844 0.352 0.196
Sn: 0.844 0.648 0.493

Top 10 peaks for 2θ from 15° to 90°, most intense first:
| d_spacing | 2θ (°) | I (rel.) |
| --- | --- | --- |
| 3.102 | 28.8 | 100.0 |
| 2.193 | 41.2 | 39.4 |
| 1.924 | 47.2 | 36.3 |
| 2.622 | 34.2 | 28.8 |
| 2.002 | 45.3 | 27.5 |
| 1.446 | 64.4 | 16.4 |
| 1.140 | 85.1 | 13.7 |
| 1.156 | 83.7 | 12.1 |
| 1.288 | 73.5 | 12.1 |
| 2.091 | 43.3 | 10.0 |

=====

6.
For KAg3Sn3, a cell relaxed with GGA-PBE gives the computed powder X-ray diffraction pattern in this record (Cu Kα X-rays).
Neutral-atom scattering factors, no anomalous dispersion.

Structural model:
a b c (Å): 8.920 8.920 5.344
angles (deg): 90.00 90.00 120.00
Element x y z (fractional)
K: 0.333 0.667 0.250
K: 0.667 0.333 0.750
Ag: 0.091 0.546 0.750
Ag: 0.454 0.545 0.750
Ag: 0.455 0.909 0.750
Ag: 0.545 0.091 0.250
Ag: 0.546 0.455 0.250
Ag: 0.909 0.454 0.250
Sn: 0.122 0.245 0.750
Sn: 0.123 0.878 0.750
Sn: 0.245 0.123 0.250
Sn: 0.755 0.877 0.750
Sn: 0.877 0.122 0.250
Sn: 0.878 0.755 0.250

Top 10 peaks for 2θ from 15° to 90°, most intense first:
| d_spacing | 2θ (°) | I (rel.) |
| --- | --- | --- |
| 2.320 | 38.8 | 100.0 |
| 3.131 | 28.5 | 42.5 |
| 2.672 | 33.5 | 40.5 |
| 4.395 | 20.2 | 29.0 |
| 2.920 | 30.6 | 27.9 |
| 1.465 | 63.5 | 23.2 |
| 1.299 | 72.8 | 19.7 |
| 1.971 | 46.0 | 17.9 |
| 2.575 | 34.8 | 17.6 |
| 1.487 | 62.5 | 15.4 |

=====

7.
For K4AgSn4, a cell relaxed with GGA-PBE gives the computed powder X-ray diffraction pattern in this record (Cu Kα X-rays).
Neutral-atom scattering factors, no anomalous dispersion.

Structural model:
a b c (Å): 9.716 9.716 9.716
angles (deg): 137.77 137.77 61.25
Element x y z (fractional)
K: 0.184 0.184 0.650
K: 0.466 0.816 0.000
K: 0.534 0.534 0.350
K: 0.816 0.466 0.000
Ag: 0.000 0.000 0.000
Sn: 0.003 0.003 0.716
Sn: 0.287 0.287 0.284
Sn: 0.713 0.997 0.000
Sn: 0.997 0.713 0.000

Top 10 peaks for 2θ from 15° to 90°, most intense first:
| d_spacing | 2θ (°) | I (rel.) |
| --- | --- | --- |
| 3.077 | 29.0 | 100.0 |
| 2.285 | 39.4 | 66.6 |
| 4.950 | 17.9 | 58.5 |
| 4.180 | 21.3 | 37.0 |
| 1.956 | 46.4 | 31.6 |
| 1.598 | 57.7 | 27.0 |
| 2.730 | 32.8 | 26.6 |
| 2.373 | 37.9 | 20.4 |
| 2.684 | 33.4 | 18.5 |
| 4.259 | 20.9 | 18.2 |

=====

8.
For K3Ag4Sn, a cell relaxed with GGA-PBE gives the computed powder X-ray diffraction pattern in this record (Cu Kα X-rays).
Neutral-atom scattering factors, no anomalous dispersion.

Structural model:
a b c (Å): 6.781 7.628 9.914
angles (deg): 90.00 90.00 90.00
Element x y z (fractional)
K: 0.000 0.000 0.000
K: 0.000 0.243 0.364
K: 0.000 0.757 0.364
K: 0.500 0.257 0.864
K: 0.500 0.500 0.500
K: 0.500 0.743 0.864
Ag: 0.000 0.310 0.721
Ag: 0.000 0.690 0.721
Ag: 0.201 0.000 0.642
Ag: 0.299 0.500 0.142
Ag: 0.500 0.190 0.221
Ag: 0.500 0.810 0.221
Ag: 0.701 0.500 0.142
Ag: 0.799 0.000 0.642
Sn: 0.000 0.500 0.961
Sn: 0.500 0.000 0.461

Top 10 peaks for 2θ from 15° to 90°, most intense first:
| d_spacing | 2θ (°) | I (rel.) |
| --- | --- | --- |
| 5.597 | 15.8 | 100.0 |
| 2.257 | 39.9 | 83.8 |
| 2.971 | 30.1 | 58.9 |
| 2.957 | 30.2 | 50.7 |
| 3.024 | 29.5 | 49.8 |
| 1.908 | 47.7 | 45.6 |
| 2.463 | 36.5 | 41.4 |
| 3.152 | 28.3 | 35.0 |
| 2.344 | 38.4 | 34.3 |
| 2.146 | 42.1 | 34.1 |

=====

9.
For K3Ag8Sn, a cell relaxed with GGA-PBE gives the computed powder X-ray diffraction pattern in this record (Cu Kα X-rays).
Neutral-atom scattering factors, no anomalous dispersion.

Structural model:
a b c (Å): 10.139 10.139 10.139
angles (deg): 33.48 33.48 33.48
Element x y z (fractional)
K: 0.000 0.000 0.000
K: 0.127 0.127 0.127
K: 0.625 0.625 0.625
Ag: 0.062 0.062 0.557
Ag: 0.062 0.557 0.062
Ag: 0.072 0.564 0.564
Ag: 0.313 0.313 0.313
Ag: 0.557 0.062 0.062
Ag: 0.564 0.072 0.564
Ag: 0.564 0.564 0.072
Ag: 0.814 0.814 0.814
Sn: 0.504 0.504 0.504

Top 10 peaks for 2θ from 15° to 90°, most intense first:
| d_spacing | 2θ (°) | I (rel.) |
| --- | --- | --- |
| 2.493 | 36.0 | 100.0 |
| 2.386 | 37.7 | 61.0 |
| 4.773 | 18.6 | 35.7 |
| 1.591 | 58.0 | 23.5 |
| 2.067 | 43.8 | 15.5 |
| 1.246 | 76.5 | 15.1 |
| 1.460 | 63.7 | 14.7 |
| 1.463 | 63.6 | 13.7 |
| 2.923 | 30.6 | 11.8 |
| 1.260 | 75.4 | 8.2 |

=====

10.
For K2TcAg, a cell relaxed with GGA-PBE gives the computed powder X-ray diffraction pattern in this record (Cu Kα X-rays).
Neutral-atom scattering factors, no anomalous dispersion.

Structural model:
a b c (Å): 2.844 4.493 9.912
angles (deg): 90.00 90.00 90.00
Element x y z (fractional)
K: 0.000 0.000 0.000
K: 0.500 0.500 0.420
Tc: 0.000 0.000 0.672
Ag: 0.500 0.500 0.755

Top 10 peaks for 2θ from 15° to 90°, most intense first:
| d_spacing | 2θ (°) | I (rel.) |
| --- | --- | --- |
| 2.403 | 37.4 | 100.0 |
| 2.336 | 38.5 | 74.0 |
| 2.662 | 33.7 | 69.3 |
| 3.329 | 26.8 | 61.9 |
| 3.304 | 27.0 | 60.1 |
| 1.943 | 46.7 | 50.1 |
| 4.956 | 17.9 | 46.1 |
| 2.247 | 40.1 | 40.7 |
| 2.156 | 41.9 | 36.6 |
| 2.191 | 41.2 | 30.6 |

=====

11.
For KAgTe5, a cell relaxed with GGA-PBE gives the computed powder X-ray diffraction pattern in this record (Cu Kα X-rays).
Neutral-atom scattering factors, no anomalous dispersion.

Structural model:
a b c (Å): 7.350 7.350 13.071
angles (deg): 112.03 112.03 54.59
Element x y z (fractional)
K: 0.135 0.865 0.750
K: 0.865 0.135 0.250
Ag: 0.500 0.500 0.000
Ag: 0.500 0.500 0.500
Te: 0.051 0.697 0.987
Te: 0.147 0.383 0.248
Te: 0.303 0.949 0.513
Te: 0.369 0.631 0.250
Te: 0.383 0.147 0.748
Te: 0.617 0.853 0.252
Te: 0.631 0.369 0.750
Te: 0.697 0.051 0.487
Te: 0.853 0.617 0.752
Te: 0.949 0.303 0.013

Top 10 peaks for 2θ from 15° to 90°, most intense first:
| d_spacing | 2θ (°) | I (rel.) |
| --- | --- | --- |
| 2.962 | 30.2 | 100.0 |
| 5.750 | 15.4 | 76.7 |
| 3.242 | 27.5 | 72.1 |
| 3.254 | 27.4 | 57.9 |
| 2.995 | 29.8 | 50.4 |
| 2.271 | 39.7 | 46.1 |
| 5.510 | 16.1 | 36.5 |
| 2.564 | 35.0 | 27.2 |
| 2.324 | 38.7 | 22.8 |
| 1.939 | 46.9 | 21.6 |

=====

12.
For KAg2Te2, a cell relaxed with GGA-PBE gives the computed powder X-ray diffraction pattern in this record (Cu Kα X-rays).
Neutral-atom scattering factors, no anomalous dispersion.

Structural model:
a b c (Å): 5.044 4.986 11.535
angles (deg): 90.00 90.35 90.00
Element x y z (fractional)
K: 0.245 0.250 0.245
K: 0.755 0.750 0.755
Ag: 0.198 0.750 0.999
Ag: 0.247 0.250 0.629
Ag: 0.753 0.750 0.371
Ag: 0.802 0.250 0.001
Te: 0.251 0.750 0.499
Te: 0.289 0.250 0.870
Te: 0.711 0.750 0.130
Te: 0.749 0.250 0.501

Top 10 peaks for 2θ from 15° to 90°, most intense first:
| d_spacing | 2θ (°) | I (rel.) |
| --- | --- | --- |
| 3.026 | 29.5 | 100.0 |
| 2.493 | 36.0 | 77.5 |
| 5.767 | 15.4 | 76.1 |
| 2.233 | 40.4 | 75.4 |
| 2.242 | 40.2 | 73.9 |
| 3.047 | 29.3 | 69.1 |
| 2.522 | 35.6 | 67.2 |
| 3.015 | 29.6 | 62.6 |
| 4.577 | 19.4 | 46.7 |
| 4.619 | 19.2 | 46.4 |

=====

13.
For KAg5Te4, a cell relaxed with GGA-PBE gives the computed powder X-ray diffraction pattern in this record (Cu Kα X-rays).
Neutral-atom scattering factors, no anomalous dispersion.

Structural model:
a b c (Å): 7.679 10.648 6.650
angles (deg): 90.00 90.00 90.00
Element x y z (fractional)
K: 0.250 0.250 0.005
K: 0.750 0.750 0.995
Ag: 0.052 0.515 0.710
Ag: 0.052 0.985 0.710
Ag: 0.250 0.750 0.758
Ag: 0.448 0.515 0.710
Ag: 0.448 0.985 0.710
Ag: 0.552 0.015 0.290
Ag: 0.552 0.485 0.290
Ag: 0.750 0.250 0.242
Ag: 0.948 0.015 0.290
Ag: 0.948 0.485 0.290
Te: 0.050 0.250 0.510
Te: 0.250 0.562 0.075
Te: 0.250 0.938 0.075
Te: 0.450 0.250 0.510
Te: 0.550 0.750 0.490
Te: 0.750 0.062 0.925
Te: 0.750 0.438 0.925
Te: 0.950 0.750 0.490

Top 10 peaks for 2θ from 15° to 90°, most intense first:
| d_spacing | 2θ (°) | I (rel.) |
| --- | --- | --- |
| 2.273 | 39.7 | 100.0 |
| 3.325 | 26.8 | 97.0 |
| 2.662 | 33.7 | 57.8 |
| 2.179 | 41.4 | 54.5 |
| 2.820 | 31.7 | 42.2 |
| 2.427 | 37.0 | 38.4 |
| 4.156 | 21.4 | 32.5 |
| 1.982 | 45.8 | 30.7 |
| 2.314 | 38.9 | 24.7 |
| 2.046 | 44.3 | 24.1 |